Diffraction record for Li12Tl2Cd. The X-ray diffraction stick pattern is calculated, not measured: it uses a crystal structure in Alexandria, relaxed with PBE and Cu Kα, 1.54184 Å.
Peak positions follow from Bragg's law for the DFT cell and can differ from measured ones.

Top 12 peaks for 2θ = 15–90°, low angle first:
Position (°2θ), I (rel.)
17.0, 48
22.9, 100
24.5, 35
26.3, 75
28.7, 62
30.0, 27
32.6, 42
35.1, 39
37.0, 34
38.1, 63
44.9, 33
61.8, 30

Cell and atoms:
Unit cell a=5.494 b=5.494 c=20.823 alpha=90.00 beta=90.00 gamma=90.00
Space group P4/nbm (No. 125, origin choice 2)
Symmetry-distinct sites (fractional):
Li (0.000, 0.000, 0.101) [8 per cell]
Li (0.070, 0.570, 0.440) [8 per cell]
Li (0.250, 0.250, 0.211) [4 per cell]
Li (0.250, 0.250, 0.340) [4 per cell]
Tl (0.250, 0.750, 0.286) [4 per cell]
Cd (0.250, 0.750, 0.000) [2 per cell]